(1)
Cs3GdSi4O10F2: theoretical XRD peak list (Cu Kα, 1.54184 Å), based on a crystal structure in OQMD, relaxed with GGA-PBE.
Lines closer than 0.1° are merged.

Cell and atoms:
```
Cs3GdSi4O10F2
1.0
7.0331 0.0000 0.0000
-3.5077 6.1299 0.0000
-0.0386 -1.8911 16.0182
Cs Gd Si O F
6 2 8 20 4
Direct
0.1265 0.2664 0.1807
0.1543 0.3156 0.4483
0.1845 0.3559 0.9190
0.8155 0.6441 0.0810
0.8457 0.6844 0.5517
0.8735 0.7336 0.8193
0.5000 0.0000 0.0000
0.5000 0.0000 0.5000
0.0766 0.7981 0.3230
0.2862 0.6665 0.6754
0.3828 0.3005 0.6658
0.4462 0.9000 0.2126
0.5538 0.1000 0.7874
0.6172 0.6995 0.3342
0.7138 0.3335 0.3246
0.9234 0.2019 0.6770
0.0355 0.4727 0.6940
0.1256 0.1481 0.6903
0.2013 0.8963 0.4123
0.2203 0.8994 0.2418
0.2931 0.7434 0.5857
0.3449 0.8554 0.7551
0.4237 0.2455 0.5720
0.4377 0.8304 0.1158
0.4480 0.5618 0.6867
0.4603 0.7191 0.2649
0.5397 0.2809 0.7351
0.5520 0.4382 0.3133
0.5623 0.1696 0.8842
0.5763 0.7545 0.4280
0.6551 0.1446 0.2449
0.7069 0.2566 0.4143
0.7797 0.1006 0.7582
0.7987 0.1037 0.5877
0.8744 0.8519 0.3097
0.9645 0.5273 0.3060
0.1528 0.7587 0.9558
0.3920 0.2334 0.0527
0.6080 0.7666 0.9473
0.8472 0.2413 0.0442
```

Main lines, low angle first (10° ≤ 2θ ≤ 80°):
d/Å  Position (°2θ)  intensity
8.009  11.0  152
3.515  25.3  1000
3.440  25.9  834
3.179  28.1  296
3.105  28.8  273
2.937  30.4  129
2.791  32.1  138
2.358  38.2  267
2.030  44.6  210
1.759  52.0  135

***

(2)
CsHg4F12: theoretical XRD peak list (Cu Kα, 1.54184 Å), based on a crystal structure in OQMD, relaxed with GGA-PBE.
Lines closer than 0.1° are merged.

Cell and atoms:
```
CsHg4F12
1.0
-4.3082 4.3082 4.3082
4.3082 -4.3082 4.3082
4.3082 4.3082 -4.3082
Cs Hg F
1 4 12
Direct
0.0000 0.0000 0.0000
0.0000 0.0000 0.5000
0.0000 0.5000 0.0000
0.5000 0.0000 0.0000
0.5000 0.5000 0.5000
0.0033 0.2474 0.7559
0.2441 0.4915 0.2474
0.2441 0.9967 0.7526
0.2474 0.2441 0.4915
0.2474 0.7559 0.0033
0.4915 0.2474 0.2441
0.5085 0.7526 0.7559
0.7526 0.2441 0.9967
0.7526 0.7559 0.5085
0.7559 0.0033 0.2474
0.7559 0.5085 0.7526
0.9967 0.7526 0.2441
```

Main lines, low angle first (10° ≤ 2θ ≤ 80°):
d/Å  Position (°2θ)  intensity
6.093  14.5  136
4.308  20.6  918
3.046  29.3  1000
2.487  36.1  103
2.154  41.9  358
1.927  47.2  429
1.759  52.0  429
1.523  60.8  228
1.436  64.9  204
1.362  68.9  191

***

(3)
Cs3Hg2F7: theoretical XRD peak list (Cu Kα, 1.54184 Å), based on a crystal structure in OQMD, relaxed with GGA-PBE.
Lines closer than 0.1° are merged.

Cell and atoms:
```
Cs3Hg2F7
1.0
-2.2775 2.2775 11.6405
2.2775 -2.2775 11.6405
2.2775 2.2775 -11.6405
Cs Hg F
3 2 7
Direct
0.0000 0.0000 0.0000
0.1846 0.1846 0.0000
0.8154 0.8154 0.0000
0.4014 0.4014 0.0000
0.5986 0.5986 0.0000
0.0952 0.5952 0.5000
0.3037 0.3037 0.0000
0.4048 0.9048 0.5000
0.5000 0.5000 0.0000
0.5952 0.0952 0.5000
0.6963 0.6963 0.0000
0.9048 0.4048 0.5000
```

Main lines, low angle first (10° ≤ 2θ ≤ 80°):
d/Å  Position (°2θ)  intensity
3.256  27.4  1000
3.221  27.7  591
2.328  38.7  134
2.278  39.6  331
1.887  48.2  192
1.866  48.8  423
1.628  56.5  172
1.610  57.2  109
1.440  64.7  110
1.219  78.4  111